Record 1
Starting from a structure optimized by DFT (PBE+U), the PXRD pattern of Li3V3B2O10 was calculated for Cu Kα (λ = 1.5418 Å).
Peak positions follow from Bragg's law for the DFT cell and can differ from measured ones.

Top 6 peaks for 2θ from 5° to 70°, sorted by position:
2theta  d (Å)  intensity
9.4  9.404  51
17.6  5.050  100
18.9  4.702  31
35.2  2.550  40
35.9  2.505  36
61.9  1.498  21

Atomic structure:
```
data_Li3V3B2O10
_symmetry_space_group_name_H-M 'P -1'
_symmetry_Int_Tables_number 2
_symmetry_space_group_name_Hall '-P 1'
_cell_length_a 2.9973
_cell_length_b 9.4077
_cell_length_c 12.1070
_cell_angle_alpha 89.01
_cell_angle_beta 89.83
_cell_angle_gamma 88.85
loop_
_atom_site_label
_atom_site_type_symbol
_atom_site_fract_x
_atom_site_fract_y
_atom_site_fract_z
_atom_site_occupancy
Li1 Li 0.0000 0.0000 0.0000 1
Li2 Li 0.0000 0.5000 0.5000 1
Li3 Li 0.0007 0.4898 0.2094 1
Li4 Li 0.5000 0.0000 0.5000 1
Li5 Li 0.5000 0.5000 0.0000 1
V1 V 0.0025 0.9971 0.7178 1
V2 V 0.4755 0.2468 0.8894 1
V3 V 0.4808 0.2662 0.3904 1
B1 B 0.4962 0.7314 0.3578 1
B2 B 0.4963 0.7648 0.8676 1
O1 O 0.0071 0.8877 0.1521 1
O2 O 0.0099 0.3625 0.9242 1
O3 O 0.0119 0.8767 0.5794 1
O4 O 0.0162 0.3802 0.3555 1
O5 O 0.4852 0.6599 0.4588 1
O6 O 0.4932 0.6242 0.8607 1
O7 O 0.4945 0.6598 0.2617 1
O8 O 0.4971 0.1500 0.2370 1
O9 O 0.4990 0.8471 0.9613 1
O10 O 0.4989 0.8833 0.3558 1
```

=====

Record 2
Starting from a structure optimized by DFT (PBE+U), the PXRD pattern of Li5Fe2P2C2O14 was calculated for Cu Kα (λ = 1.5418 Å).
Peak positions follow from Bragg's law for the DFT cell and can differ from measured ones.

Top 6 peaks for 2θ from 5° to 70°, sorted by position:
2theta  d (Å)  intensity
10.5  8.421  88
19.6  4.520  44
21.4  4.148  62
26.2  3.397  35
27.5  3.247  100
36.2  2.480  27

Atomic structure:
```
data_Li5Fe2P2C2O14
_symmetry_space_group_name_H-M 'P -1'
_symmetry_Int_Tables_number 2
_symmetry_space_group_name_Hall '-P 1'
_cell_length_a 8.1879
_cell_length_b 8.2798
_cell_length_c 8.4616
_cell_angle_alpha 92.80
_cell_angle_beta 94.04
_cell_angle_gamma 104.16
loop_
_atom_site_label
_atom_site_type_symbol
_atom_site_fract_x
_atom_site_fract_y
_atom_site_fract_z
_atom_site_occupancy
Li1 Li 0.0918 0.1112 0.2741 1
Li2 Li 0.1167 0.6369 0.7222 1
Li3 Li 0.2398 0.4962 0.0993 1
Li4 Li 0.2505 0.0241 0.9046 1
Li5 Li 0.3895 0.8519 0.2719 1
Fe1 Fe 0.0299 0.2750 0.6795 1
Fe2 Fe 0.4773 0.2322 0.3426 1
P1 P 0.2379 0.9840 0.5822 1
P2 P 0.2559 0.5172 0.4143 1
C1 C 0.0267 0.7804 0.0274 1
C2 C 0.4614 0.7366 0.9474 1
O1 O 0.0618 0.8106 0.8830 1
O2 O 0.0946 0.3428 0.9408 1
O3 O 0.0959 0.8205 0.5545 1
O4 O 0.1153 0.8774 0.1456 1
O5 O 0.1240 0.5561 0.2901 1
O6 O 0.1785 0.1081 0.6924 1
O7 O 0.1860 0.4672 0.5711 1
O8 O 0.2837 0.0533 0.4183 1
O9 O 0.3167 0.3772 0.3222 1
O10 O 0.3708 0.6534 0.8215 1
O11 O 0.3989 0.9547 0.6749 1
O12 O 0.4012 0.1549 0.0829 1
O13 O 0.4044 0.6794 0.4475 1
O14 O 0.4154 0.7103 0.0858 1
```